No. 1
Starting from a cell relaxed with GGA-PBE, the powder diffractogram of IrRhO was calculated for Cu Ka.
Kinematic intensities with the Lorentz-polarization factor, no thermal factor.

Most intense lines, 2θ = 10–80°, sorted by position:
- 2θ = 15.8°, intensity 56
- 2θ = 31.8°, intensity 29
- 2θ = 36.1°, intensity 22
- 2θ = 37.0°, intensity 23
- 2θ = 38.4°, intensity 28
- 2θ = 41.0°, intensity 100
- 2θ = 43.7°, intensity 45
- 2θ = 50.0°, intensity 30
- 2θ = 56.1°, intensity 23
- 2θ = 66.5°, intensity 22

Atomic structure:
```
IrRhO
1.0
11.246 0.000 0.000
0.000 1.366 2.485
0.000 -1.366 2.485
Ir Rh O
2 2 2
Cartesian
0.000 0.000 0.000
5.623 0.000 0.830
3.482 0.000 2.446
7.765 0.000 2.446
1.498 0.000 2.487
9.749 0.000 2.487
```

No. 2
Starting from a cell relaxed with GGA-PBE, the powder diffractogram of SnIrRhO6 was calculated for Cu Ka.
Kinematic intensities with the Lorentz-polarization factor, no thermal factor.

Most intense lines, 2θ = 10–80°, sorted by position:
- 2θ = 21.3°, intensity 11
- 2θ = 27.2°, intensity 100
- 2θ = 34.0°, intensity 88
- 2θ = 38.8°, intensity 25
- 2θ = 52.5°, intensity 69
- 2θ = 56.0°, intensity 16
- 2θ = 63.4°, intensity 16
- 2θ = 64.7°, intensity 17
- 2θ = 67.2°, intensity 20
- 2θ = 71.5°, intensity 10

Atomic structure:
```
SnIrRhO6
1.0
4.641 0.000 0.000
0.000 4.641 0.000
0.000 0.000 9.629
Sn Ir Rh O
2 2 2 12
Cartesian
0.000 0.000 0.000
2.321 2.321 4.814
0.000 0.000 6.434
2.321 2.321 1.620
0.000 0.000 3.190
2.321 2.321 8.004
0.858 0.858 4.825
0.898 0.898 7.985
0.925 0.925 1.628
1.395 3.246 6.443
1.423 3.219 3.171
1.462 3.179 0.011
3.179 1.462 0.011
3.219 1.423 3.171
3.246 1.395 6.443
3.716 3.716 1.628
3.743 3.743 7.985
3.783 3.783 4.825
```

No. 3
Starting from a cell relaxed with GGA-PBE, the powder diffractogram of Tl2IrRh2O6 was calculated for Cu Ka.
Kinematic intensities with the Lorentz-polarization factor, no thermal factor.

Most intense lines, 2θ = 10–80°, sorted by position:
- 2θ = 19.1°, intensity 42
- 2θ = 23.4°, intensity 27
- 2θ = 28.4°, intensity 62
- 2θ = 33.8°, intensity 100
- 2θ = 37.7°, intensity 38
- 2θ = 37.8°, intensity 74
- 2θ = 50.9°, intensity 43
- 2θ = 57.7°, intensity 23
- 2θ = 59.3°, intensity 19
- 2θ = 65.6°, intensity 24

Atomic structure:
```
Tl2IrRh2O6
1.0
2.767 -4.780 0.000
2.767 4.780 0.000
-1.854 0.000 6.290
Tl Ir Rh O
2 1 2 6
Cartesian
2.767 3.181 0.000
2.767 -3.181 0.000
-0.927 0.000 3.145
1.840 1.588 3.145
1.840 -1.588 3.145
-0.008 1.580 4.093
0.909 0.000 2.189
-0.008 -1.580 4.093
3.688 1.580 2.198
2.771 0.000 4.101
3.688 -1.580 2.198
```

What is the formula in the first record?
IrRhO